Calculated powder diffraction line list
Compound: Na2SnPbSe4
Radiation: Cu Kα, 1.54184 Å
Structure: a cell relaxed with PBE

Cell and atoms:
Cell: 8.4599 8.4599 8.4599 Å, 121.31 118.79 89.93°
Fractional positions:
1 Na 0.0000 0.0000 0.0000
2 Na 0.5000 0.0000 0.0000
3 Na 0.5000 0.0000 0.5000
4 Na 0.5000 0.5000 0.5000
5 Sn 0.0000 0.0000 0.5000
6 Sn 0.0000 0.5000 0.0000
7 Pb 0.0000 0.5000 0.5000
8 Pb 0.5000 0.5000 0.0000
9 Se 0.2236 0.2458 0.9778
10 Se 0.2282 0.2196 0.4914
11 Se 0.2282 0.7368 0.0086
12 Se 0.2320 0.7542 0.4778
13 Se 0.7680 0.2458 0.5222
14 Se 0.7718 0.2632 0.9914
15 Se 0.7718 0.7804 0.5086
16 Se 0.7764 0.7542 0.0222

The 6 most intense peaks (2θ = 5–70°), low angle first:
12.66 deg, I 21
12.99 deg, I 26
24.45 deg, I 16
29.89 deg, I 100
42.77 deg, I 48
53.79 deg, I 14